[1]
Theoretical powder X-ray diffraction pattern
Compound: LiGa2Ir
Radiation: CuKα
Structure: the GGA-PBE geometry in the Materials Project

Main lines, by intensity (15° ≤ 2θ ≤ 90°):
d [Å]	2θ (°)	I_rel
2.157	41.9	100
3.523	25.3	73
1.840	49.6	36
1.245	76.5	34
1.525	60.7	17
1.400	66.8	15
1.174	82.1	11
3.051	29.3	2
1.364	68.8	1
1.761	51.9	1

Crystal structure
Lattice parameters (Å, degrees): 4.3142 4.3142 4.3142 60.00 60.00 60.00
Positions (direct):
Li (0.0000, 0.0000, 0.0000)
Ga (0.2500, 0.2500, 0.2500)
Ga (0.7500, 0.7500, 0.7500)
Ir (0.5000, 0.5000, 0.5000)



[2]
Theoretical powder X-ray diffraction pattern
Compound: Li2GaIr
Radiation: CuKα
Structure: the GGA-PBE geometry in the Materials Project

Main lines, by intensity (15° ≤ 2θ ≤ 90°):
d [Å]	2θ (°)	I_rel
3.465	25.7	100
2.122	42.6	77
1.809	50.4	49
1.225	78.0	26
1.377	68.1	20
3.000	29.8	18
1.155	83.8	15
1.500	61.8	13
1.342	70.1	7
1.732	52.8	5

Crystal structure
Lattice parameters (Å, degrees): 4.2433 4.2433 4.2433 60.00 60.00 60.00
Positions (direct):
Li (0.0000, 0.0000, 0.0000)
Li (0.2500, 0.2500, 0.2500)
Ga (0.5000, 0.5000, 0.5000)
Ir (0.7500, 0.7500, 0.7500)